Entry 1:
# MnCoTcHOs
Simulated X-ray powder pattern, Cu Ka. Input: a crystal structure in Alexandria, relaxed with GGA-PBE.
Peak positions follow from Bragg's law for the DFT cell and can differ from measured ones.

```
MnCoTcHOs
1.0
4.023 0.000 0.000
0.000 2.668 0.000
0.000 0.000 9.703
Mn Co Tc H Os
2 2 2 2 2
Cartesian
0.000 0.000 0.000 Mn
0.000 1.334 4.851 Mn
2.012 0.000 8.471 Co
2.012 1.334 3.619 Co
0.000 0.000 2.687 Tc
0.000 1.334 7.538 Tc
0.000 0.000 6.072 H
0.000 1.334 1.221 H
2.012 0.000 5.876 Os
2.012 1.334 1.025 Os
```

Top 10 peaks for 10° ≤ 2θ ≤ 80°, by angle:
2θ = 18.29°, I 16; 2θ = 22.09°, I 11; 2θ = 28.83°, I 45; 2θ = 37.06°, I 13; 2θ = 41.67°, I 100; 2θ = 43.57°, I 66; 2θ = 44.00°, I 54; 2θ = 45.07°, I 38; 2θ = 49.76°, I 14; 2θ = 64.81°, I 34

Entry 2:
# Zn6Ag2Pt
Simulated X-ray powder pattern, Cu Ka. Input: a crystal structure in Alexandria, relaxed with GGA-PBE.
Peak positions follow from Bragg's law for the DFT cell and can differ from measured ones.

```
Zn6Ag2Pt
1.0
6.513 -4.629 0.000
6.513 4.629 0.000
-0.629 0.000 4.628
Zn Ag Pt
12 4 2
Cartesian
5.202 3.461 4.509 Zn
3.691 1.211 0.615 Zn
6.880 3.461 2.433 Zn
4.716 1.090 3.222 Zn
3.377 -1.211 2.929 Zn
7.366 1.090 3.720 Zn
5.031 -1.090 0.908 Zn
9.020 1.211 1.699 Zn
7.680 -1.090 1.406 Zn
5.517 -3.461 2.195 Zn
8.705 -1.211 4.013 Zn
7.194 -3.461 0.119 Zn
1.884 1.090 2.644 Ag
2.198 -1.090 0.330 Ag
10.198 1.090 4.298 Ag
10.512 -1.090 1.984 Ag
6.355 1.250 1.157 Pt
6.041 -1.250 3.471 Pt
```

Top 10 peaks for 10° ≤ 2θ ≤ 80°, by angle:
2θ = 23.34°, I 11; 2θ = 29.40°, I 14; 2θ = 38.87°, I 100; 2θ = 39.85°, I 48; 2θ = 41.11°, I 86; 2θ = 48.08°, I 26; 2θ = 48.94°, I 26; 2θ = 63.51°, I 12; 2θ = 71.96°, I 14; 2θ = 73.46°, I 13

Entry 3:
# Li3Zr4F19
Simulated X-ray powder pattern, Cu Ka. Input: a crystal structure in Alexandria, relaxed with GGA-PBE.
Peak positions follow from Bragg's law for the DFT cell and can differ from measured ones.

```
Li3Zr4F19
1.0
5.517 0.000 0.000
-2.464 10.735 0.000
-0.542 -4.154 12.265
Li Zr F
6 8 38
Cartesian
-0.944 1.814 5.433 Li
0.363 -1.237 3.692 Li
0.057 -1.497 12.113 Li
2.454 8.077 0.152 Li
2.148 7.818 8.573 Li
3.455 4.766 6.832 Li
-0.700 6.148 1.603 Zr
-0.642 5.875 10.633 Zr
0.460 2.981 8.695 Zr
1.722 -0.557 6.799 Zr
0.788 7.137 5.466 Zr
2.051 3.600 3.569 Zr
3.153 0.706 1.632 Zr
3.211 0.432 10.661 Zr
-1.957 7.690 1.853 F
-2.028 4.713 11.522 F
-0.986 1.847 9.774 F
-0.372 4.584 0.084 F
-2.000 6.947 9.652 F
-0.678 3.028 7.043 F
0.347 -1.657 7.744 F
0.425 0.081 5.366 F
-0.880 4.698 8.835 F
-0.710 5.996 6.170 F
0.511 2.690 4.383 F
-0.181 6.831 3.518 F
1.719 -0.373 2.528 F
0.849 1.177 7.663 F
-0.591 8.792 5.125 F
1.349 -3.330 12.094 F
0.720 4.710 2.345 F
0.784 7.139 0.767 F
1.791 2.439 1.762 F
0.720 4.141 10.503 F
1.727 -0.558 11.498 F
1.791 1.870 9.919 F
1.162 9.911 0.171 F
3.102 -2.211 7.139 F
1.661 5.404 4.602 F
0.792 6.954 9.737 F
2.692 -0.250 8.747 F
2.000 3.891 7.882 F
3.220 0.584 6.094 F
3.391 1.883 3.430 F
2.085 6.500 6.899 F
2.164 8.237 4.520 F
3.189 3.553 5.222 F
4.511 -0.367 2.612 F
2.883 1.997 12.181 F
3.497 4.734 2.491 F
4.539 1.868 0.743 F
4.468 -1.109 10.412 F
```

Top 10 peaks for 10° ≤ 2θ ≤ 80°, by angle:
2θ = 14.27°, I 27; 2θ = 16.60°, I 33; 2θ = 16.73°, I 19; 2θ = 22.31°, I 100; 2θ = 26.11°, I 52; 2θ = 26.67°, I 38; 2θ = 26.87°, I 38; 2θ = 45.53°, I 31; 2θ = 46.29°, I 19; 2θ = 46.64°, I 25

Entry 4:
# Rb5Cd4P4
Simulated X-ray powder pattern, Cu Ka. Input: a crystal structure in Alexandria, relaxed with GGA-PBE.
Peak positions follow from Bragg's law for the DFT cell and can differ from measured ones.

```
Rb5Cd4P4
1.0
-6.727 6.727 2.238
6.727 -6.727 2.238
6.727 6.727 -2.238
Rb Cd P
5 4 4
Cartesian
0.000 0.000 0.000 Rb
4.908 3.990 0.000 Rb
2.737 -1.819 2.238 Rb
3.990 8.546 0.000 Rb
1.819 2.737 2.238 Rb
7.813 1.470 0.000 Cd
1.470 5.641 0.000 Cd
5.257 1.086 2.238 Cd
-1.086 5.257 2.238 Cd
3.921 0.571 0.000 P
6.156 -2.806 2.238 P
0.571 9.533 0.000 P
2.806 6.156 2.238 P
```

Top 10 peaks for 10° ≤ 2θ ≤ 80°, by angle:
2θ = 24.79°, I 22; 2θ = 28.16°, I 37; 2θ = 29.70°, I 19; 2θ = 31.21°, I 100; 2θ = 33.98°, I 51; 2θ = 40.30°, I 20; 2θ = 47.81°, I 15; 2θ = 49.84°, I 14; 2θ = 53.68°, I 38; 2θ = 59.08°, I 15